For YAgO, DFT lattice parameters and positions (PBE) gives the theoretical X-ray powder pattern in this record (Cu Kα, 1.54184 Å).
Neutral-atom scattering factors, no anomalous dispersion.

Cell and atoms:
abc: 3.878 3.878 7.561
angles: 90.00 90.00 90.00
Fractional coordinates of all 6 atoms:
Y  0.250  0.250  0.148
Y  0.750  0.750  0.852
Ag  0.250  0.250  0.565
Ag  0.750  0.750  0.435
O  0.250  0.750  0.000
O  0.750  0.250  0.000

Top 10 peaks for 10° ≤ 2θ ≤ 80°, by angle:
23.53°, intensity 10.0
32.66°, intensity 62.7
33.09°, intensity 100.0
34.81°, intensity 13.1
42.79°, intensity 9.3
46.86°, intensity 30.4
49.10°, intensity 21.0
58.56°, intensity 36.6
66.35°, intensity 15.6
77.91°, intensity 9.8

For Tm2Co17, DFT lattice parameters and positions (PBE) gives the theoretical X-ray powder pattern in this record (Cu Kα, 1.54184 Å).
Neutral-atom scattering factors, no anomalous dispersion.

Cell and atoms:
abc: 6.239 6.239 6.239
angles: 82.95 82.95 82.95
Fractional coordinates of all 19 atoms:
Tm  0.156  0.156  0.156
Tm  0.844  0.844  0.844
Co  0.000  0.500  0.500
Co  0.153  0.153  0.651
Co  0.153  0.651  0.153
Co  0.210  0.500  0.790
Co  0.210  0.790  0.500
Co  0.349  0.847  0.847
Co  0.403  0.403  0.403
Co  0.500  0.000  0.500
Co  0.500  0.210  0.790
Co  0.500  0.500  0.000
Co  0.500  0.790  0.210
Co  0.597  0.597  0.597
Co  0.651  0.153  0.153
Co  0.790  0.210  0.500
Co  0.790  0.500  0.210
Co  0.847  0.349  0.847
Co  0.847  0.847  0.349

Top 10 peaks for 10° ≤ 2θ ≤ 80°, by angle:
31.04°, intensity 42.1
37.71°, intensity 42.6
39.07°, intensity 33.2
43.82°, intensity 64.0
44.14°, intensity 100.0
45.07°, intensity 49.8
49.61°, intensity 17.2
63.95°, intensity 17.4
64.68°, intensity 26.2
72.55°, intensity 15.0

For LaPr4Er2Mg, DFT lattice parameters and positions (PBE) gives the theoretical X-ray powder pattern in this record (Cu Kα, 1.54184 Å).
Neutral-atom scattering factors, no anomalous dispersion.

Cell and atoms:
abc: 5.916 5.922 7.627
angles: 90.00 90.05 90.00
Fractional coordinates of all 8 atoms:
La  0.000  0.000  0.000
Pr  0.000  0.500  0.249
Pr  0.000  0.500  0.751
Pr  0.500  0.000  0.248
Pr  0.500  0.000  0.752
Er  0.000  0.000  0.500
Er  0.500  0.500  0.500
Mg  0.500  0.500  0.000

Top 10 peaks for 10° ≤ 2θ ≤ 80°, by angle:
30.20°, intensity 57.0
31.74°, intensity 100.0
43.23°, intensity 21.4
47.70°, intensity 8.0
54.62°, intensity 43.1
57.48°, intensity 14.2
62.79°, intensity 7.1
71.25°, intensity 9.7
72.09°, intensity 9.4
78.67°, intensity 7.4

For K3Pu2ZnSe6, DFT lattice parameters and positions (PBE) gives the theoretical X-ray powder pattern in this record (Cu Kα, 1.54184 Å).
Neutral-atom scattering factors, no anomalous dispersion.

Cell and atoms:
abc: 7.241 7.241 8.001
angles: 98.67 98.67 119.98
Fractional coordinates of all 12 atoms:
K  0.000  0.000  0.000
K  0.333  0.667  0.000
K  0.667  0.333  0.000
Pu  0.167  0.833  0.500
Pu  0.833  0.167  0.500
Zn  0.500  0.500  0.500
Se  0.108  0.434  0.301
Se  0.240  0.240  0.699
Se  0.434  0.108  0.301
Se  0.566  0.892  0.699
Se  0.760  0.760  0.301
Se  0.892  0.566  0.699

Top 10 peaks for 10° ≤ 2θ ≤ 80°, by angle:
11.60°, intensity 71.7
24.90°, intensity 15.7
29.19°, intensity 100.0
37.05°, intensity 25.0
40.17°, intensity 33.1
43.28°, intensity 36.4
44.96°, intensity 17.8
50.60°, intensity 16.2
53.05°, intensity 18.4
70.79°, intensity 17.6